Entry 1:
The following is a theoretical XRD peak list of CsNpZnF6. It was derived from a crystal structure in Alexandria, relaxed with PBE, using a wavelength of 1.5418 Å.
Neutral-atom scattering factors, no anomalous dispersion.

Atomic structure:
a = 7.648 Å, b = 7.648 Å, c = 7.648 Å
α = 119.98°, β = 116.59°, γ = 93.02°
Fractional coordinates of all 18 atoms:
Cs1 0.340 0.090 0.250
Cs2 0.660 0.910 0.750
Np1 0.000 0.500 0.500
Np2 0.500 0.500 0.000
Zn1 0.000 0.000 0.500
Zn2 0.000 0.500 0.000
F1 0.052 0.354 0.175
F2 0.052 0.877 0.698
F3 0.079 0.329 0.750
F4 0.320 0.123 0.675
F5 0.320 0.646 0.198
F6 0.362 0.612 0.750
F7 0.638 0.388 0.250
F8 0.680 0.354 0.802
F9 0.680 0.877 0.325
F10 0.921 0.671 0.250
F11 0.948 0.123 0.302
F12 0.948 0.646 0.825

The 6 most intense peaks (2θ = 10–90°), by angle:
two_theta, I (rel.)
14.3, 41.4
23.3, 39.4
26.4, 100.0
27.9, 51.6
28.9, 48.2
47.7, 44.0

=====

Entry 2:
The following is a theoretical XRD peak list of CsSbPO4F3. It was derived from a crystal structure in Alexandria, relaxed with PBE, using a wavelength of 1.5418 Å.
Neutral-atom scattering factors, no anomalous dispersion.

Atomic structure:
a = 6.737 Å, b = 5.637 Å, c = 9.635 Å
α = 90.00°, β = 103.03°, γ = 90.00°
Fractional coordinates of all 20 atoms:
Cs1 0.214 0.250 0.331
Cs2 0.786 0.750 0.669
Sb1 0.307 0.250 0.782
Sb2 0.693 0.750 0.218
P1 0.359 0.750 0.937
P2 0.641 0.250 0.063
O1 0.214 0.529 0.884
O2 0.214 0.971 0.884
O3 0.401 0.750 0.107
O4 0.448 0.250 0.111
O5 0.552 0.750 0.889
O6 0.599 0.250 0.893
O7 0.786 0.029 0.116
O8 0.786 0.471 0.116
F1 0.027 0.250 0.673
F2 0.368 0.026 0.645
F3 0.368 0.474 0.645
F4 0.632 0.526 0.355
F5 0.632 0.974 0.355
F6 0.973 0.750 0.327

The 6 most intense peaks (2θ = 10–90°), by angle:
two_theta, I (rel.)
18.9, 39.0
20.8, 100.0
21.5, 29.2
26.0, 42.6
30.3, 36.0
43.4, 29.8